# 1
This entry pairs a crystal structure of Te6MoW3Se2 with its calculated powder diffraction line list. Radiation: Cu Kα X-rays. Structure: a structure optimized by DFT (GGA-PBE).
Neutral-atom scattering factors, no anomalous dispersion.

Peak list (8 most intense, 2θ from 10° to 90°, low angle first)
d [Å]  I/Imax
7.930  100
6.609  19
3.027  48
2.585  92
2.149  59
2.069  20
1.749  36
1.283  17

Crystal structure
```
12
Lattice="3.498 0.000 0.000 -1.749 3.029 0.000 0.000 0.000 39.652" Properties=species:S:1:pos:R:3 pbc="T T T"
Te 0.000 0.000 0.000
Te 0.000 0.000 3.662
Te 1.749 1.010 7.439
Te 1.749 1.010 11.123
Te 1.749 1.010 22.337
Te 1.749 1.010 26.022
Mo 1.749 1.010 1.830
W 0.000 0.000 9.282
W 0.000 0.000 24.180
W 1.749 1.010 16.730
Se 0.000 0.000 15.106
Se 0.000 0.000 18.354
```



# 2
This entry pairs a crystal structure of K2CS3O with its calculated powder diffraction line list. Radiation: Cu Kα X-rays. Structure: a structure optimized by DFT (GGA-PBE).
Neutral-atom scattering factors, no anomalous dispersion.

Peak list (8 most intense, 2θ from 10° to 90°, low angle first)
d [Å]  I/Imax
5.202  43
4.413  39
3.435  71
3.336  58
3.057  100
2.897  53
2.768  44
2.341  38

Crystal structure
```
28
Lattice="6.616 0.000 0.000 0.000 16.093 0.000 -6.149 0.000 6.819" Properties=species:S:1:pos:R:3 pbc="T T T"
K -2.410 3.198 2.974
K -5.484 4.849 6.384
K -4.415 0.910 5.608
K -1.341 7.136 2.199
K 1.808 8.957 4.621
K 4.883 15.182 1.211
K 5.952 11.244 0.435
K 2.877 12.895 3.845
C 0.727 2.098 1.904
C -2.347 5.949 5.314
C 2.815 10.144 1.506
C -0.260 13.995 4.915
S -0.475 2.011 0.691
S -3.550 6.036 4.101
S 1.692 8.901 1.085
S -1.383 15.239 4.495
S 2.622 11.586 0.578
S -0.452 12.554 3.988
S 0.920 3.539 2.832
S -2.155 4.507 6.241
S 1.850 0.854 2.325
S -1.224 7.192 5.734
S 4.017 10.057 2.719
S 0.943 14.082 6.128
O -3.115 3.378 5.755
O -0.040 4.668 2.346
O 0.508 11.425 4.474
O 3.582 12.715 1.064
```



# 3
This entry pairs a crystal structure of LiMg6Mo with its calculated powder diffraction line list. Radiation: Cu Kα X-rays. Structure: a structure optimized by DFT (GGA-PBE).
Neutral-atom scattering factors, no anomalous dispersion.

Peak list (8 most intense, 2θ from 10° to 90°, low angle first)
d [Å]  I/Imax
6.096  74
3.535  28
2.494  100
2.326  15
2.184  16
2.170  17
2.128  16
1.307  12

Crystal structure
```
8
Lattice="4.339 0.000 0.000 0.000 4.255 4.369 0.000 -4.255 4.369" Properties=species:S:1:pos:R:3 pbc="T T T"
Li 0.000 0.000 0.000
Mg 0.000 -2.103 6.500
Mg 0.000 2.103 6.500
Mg 2.170 -2.072 4.303
Mg 2.170 0.000 2.285
Mg 2.170 0.000 6.313
Mg 2.170 2.072 4.303
Mo 0.000 0.000 4.291
```



# 4
This entry pairs a crystal structure of CeBPt2 with its calculated powder diffraction line list. Radiation: Cu Kα X-rays. Structure: a structure optimized by DFT (GGA-PBE).
Neutral-atom scattering factors, no anomalous dispersion.

Peak list (8 most intense, 2θ from 10° to 90°, low angle first)
d [Å]  I/Imax
2.654  41
2.593  100
2.258  72
1.611  25
1.553  19
1.471  17
1.371  15
1.218  19

Crystal structure
```
12
Lattice="5.485 0.000 0.000 -2.742 4.750 0.000 0.000 0.000 7.961" Properties=species:S:1:pos:R:3 pbc="T T T"
Ce -1.371 2.375 1.327
Ce 2.742 0.000 3.980
Ce 1.371 2.375 6.634
B -1.371 2.375 5.307
B 2.742 0.000 0.000
B 1.371 2.375 2.654
Pt 0.000 1.442 3.980
Pt -1.494 4.029 6.634
Pt 1.249 0.721 1.327
Pt 1.494 4.029 1.327
Pt 4.236 0.721 6.634
Pt 2.742 3.308 3.980
```